No. 1
Diffraction record for Tb2Ho2TmMg5. The powder X-ray diffraction pattern is theoretical, not measured: it uses a cell relaxed with GGA-PBE and copper Kα.
Lines closer than 0.1° are merged.

Top 6 peaks for 10° ≤ 2θ ≤ 90°, in order of rising 2θ:
| Position (°2θ) | d (Å) | intensity |
| --- | --- | --- |
| 17.6 | 5.041 | 94 |
| 26.8 | 3.330 | 47 |
| 29.8 | 2.995 | 23 |
| 32.2 | 2.778 | 100 |
| 35.6 | 2.524 | 69 |
| 45.1 | 2.010 | 23 |

Structure:
```
Tb2Ho2TmMg5
1.0
10.5289 0.0000 0.0000
0.0000 10.5289 0.0000
0.0000 0.0000 5.0410
Tb Ho Tm Mg
4 4 2 10
direct
0.1778 0.3222 0.0000 Tb
0.3222 0.8222 0.0000 Tb
0.6778 0.1778 0.0000 Tb
0.8222 0.6778 0.0000 Tb
0.1191 0.6191 0.0000 Ho
0.3809 0.1191 0.0000 Ho
0.6191 0.8809 0.0000 Ho
0.8809 0.3809 0.0000 Ho
0.0000 0.0000 0.0000 Tm
0.5000 0.5000 0.0000 Tm
0.0000 0.5000 0.5000 Mg
0.0695 0.8029 0.5000 Mg
0.1971 0.0695 0.5000 Mg
0.3029 0.5695 0.5000 Mg
0.4305 0.3029 0.5000 Mg
0.5000 0.0000 0.5000 Mg
0.5695 0.6971 0.5000 Mg
0.6971 0.4305 0.5000 Mg
0.8029 0.9305 0.5000 Mg
0.9305 0.1971 0.5000 Mg
```

No. 2
Diffraction record for Re2Ru5Rh2. The powder X-ray diffraction pattern is theoretical, not measured: it uses a cell relaxed with GGA-PBE and copper Kα.
Lines closer than 0.1° are merged.

Top 6 peaks for 10° ≤ 2θ ≤ 90°, in order of rising 2θ:
| Position (°2θ) | d (Å) | intensity |
| --- | --- | --- |
| 40.6 | 2.221 | 100 |
| 47.1 | 1.931 | 16 |
| 47.2 | 1.926 | 16 |
| 47.5 | 1.913 | 16 |
| 83.0 | 1.163 | 12 |
| 83.2 | 1.161 | 12 |

Structure:
```
Re2Ru5Rh2
1.0
4.3082 -1.9258 0.0000
4.3082 1.9258 0.0000
-2.6461 0.0000 7.7155
Re Ru Rh
2 5 2
direct
0.1671 0.1671 0.0553 Re
0.8329 0.8329 0.9447 Re
0.1669 0.1669 0.7265 Ru
0.4999 0.4999 0.1665 Ru
0.5000 0.5000 0.5000 Ru
0.5001 0.5001 0.8335 Ru
0.8331 0.8331 0.2735 Ru
0.1675 0.1675 0.3884 Rh
0.8325 0.8325 0.6116 Rh
```

No. 3
Diffraction record for NdY2Al2Ga2. The powder X-ray diffraction pattern is theoretical, not measured: it uses a cell relaxed with GGA-PBE and copper Kα.
Lines closer than 0.1° are merged.

Top 6 peaks for 10° ≤ 2θ ≤ 90°, in order of rising 2θ:
| Position (°2θ) | d (Å) | intensity |
| --- | --- | --- |
| 24.2 | 3.679 | 49 |
| 30.7 | 2.912 | 60 |
| 32.5 | 2.756 | 100 |
| 42.3 | 2.138 | 57 |
| 54.3 | 1.689 | 23 |
| 60.4 | 1.533 | 28 |

Structure:
```
NdY2Al2Ga2
1.0
2.1384 1.2346 10.9988
-2.1384 1.2346 10.9988
0.0000 -2.4692 10.9988
Nd Y Al Ga
1 2 2 2
direct
0.0000 0.0000 0.0000 Nd
0.1258 0.1258 0.1258 Y
0.8742 0.8742 0.8742 Y
0.3945 0.3945 0.3945 Al
0.6055 0.6055 0.6055 Al
0.2605 0.2605 0.2605 Ga
0.7395 0.7395 0.7395 Ga
```

No. 4
Diffraction record for CaYTm4S8. The powder X-ray diffraction pattern is theoretical, not measured: it uses a cell relaxed with GGA-PBE and copper Kα.
Lines closer than 0.1° are merged.

Top 6 peaks for 10° ≤ 2θ ≤ 90°, in order of rising 2θ:
| Position (°2θ) | d (Å) | intensity |
| --- | --- | --- |
| 13.5 | 6.549 | 30 |
| 26.1 | 3.415 | 100 |
| 31.6 | 2.832 | 31 |
| 41.4 | 2.179 | 28 |
| 45.2 | 2.006 | 30 |
| 45.4 | 2.000 | 30 |

Structure:
```
CaYTm4S8
1.0
3.9994 2.3091 6.5605
-3.9994 2.3091 6.5605
0.0000 -4.6181 6.5605
Ca Y Tm S
1 1 4 8
direct
0.0000 0.0000 0.0000 Ca
0.6274 0.6274 0.6274 Y
0.1195 0.6274 0.6274 Tm
0.2507 0.2507 0.2507 Tm
0.6274 0.1195 0.6274 Tm
0.6274 0.6274 0.1195 Tm
0.3807 0.3807 0.8535 S
0.3807 0.8535 0.3807 S
0.3835 0.3835 0.3835 S
0.4077 0.8671 0.8671 S
0.8535 0.3807 0.3807 S
0.8641 0.8641 0.8641 S
0.8671 0.4077 0.8671 S
0.8671 0.8671 0.4077 S
```

No. 5
Diffraction record for Tl2CuIrO4. The powder X-ray diffraction pattern is theoretical, not measured: it uses a cell relaxed with GGA-PBE and copper Kα.
Lines closer than 0.1° are merged.

Top 6 peaks for 10° ≤ 2θ ≤ 90°, in order of rising 2θ:
| Position (°2θ) | d (Å) | intensity |
| --- | --- | --- |
| 17.6 | 5.034 | 100 |
| 28.7 | 3.114 | 66 |
| 29.1 | 3.064 | 91 |
| 31.3 | 2.862 | 91 |
| 34.4 | 2.606 | 78 |
| 51.9 | 1.761 | 62 |

Structure:
```
Tl2CuIrO4
1.0
0.0000 6.1273 9.7091
2.8794 0.0000 9.7091
2.8794 6.1273 0.0000
Tl Cu Ir O
4 2 2 8
direct
0.0533 0.0533 0.6967 Tl
0.3033 0.3033 0.9467 Tl
0.6967 0.6967 0.0533 Tl
0.9467 0.9467 0.3033 Tl
0.3750 0.3750 0.3750 Cu
0.6250 0.6250 0.6250 Cu
0.1250 0.1250 0.1250 Ir
0.8750 0.8750 0.8750 Ir
0.0584 0.5563 0.7045 O
0.1809 0.7045 0.5563 O
0.2955 0.8191 0.9416 O
0.4437 0.9416 0.8191 O
0.5563 0.0584 0.1809 O
0.7045 0.1809 0.0584 O
0.8191 0.2955 0.4437 O
0.9416 0.4437 0.2955 O
```